Diffraction record for Dy3Co3B8. The XRD peak list is calculated, not measured: it uses a DFT-relaxed cell (GGA-PBE, Alexandria) and Cu Kα (weighted mean of Kα1 and Kα2).
Intensities are scaled so that the largest is 100.

Top 10 peaks for 10 to 90 degrees two-theta, by intensity:
| 2θ (°) | I_rel | index |
| --- | --- | --- |
| 43.4 | 100 | 1 2 3 |
| 29.3 | 76 | 1 1 0 |
| 19.8 | 70 | 0 2 0 |
| 27.8 | 48 | 0 1 3 |
| 40.3 | 40 | 0 4 0 |
| 40.0 | 33 | 0 3 3 |
| 35.3 | 30 | 1 2 1 |
| 41.1 | 27 | 1 3 0 |
| 34.8 | 26 | 0 0 4 |
| 38.2 | 25 | 1 0 3 |

Structure:
Lattice parameters (Å, degrees): 3.240 8.953 10.299 90.00 90.00 90.00
Space group Immm (No. 71)
Unique sites:
Dy: 0.000 0.000 0.000 x2
Dy: 0.000 0.000 0.296 x4
Co: 0.000 0.221 0.500 x4
Co: 0.000 0.500 0.000 x2
B: 0.000 0.279 0.136 x8
B: 0.000 0.305 0.319 x8

Diffraction record for La2Cu3Ge4Pt. The XRD peak list is calculated, not measured: it uses a DFT-relaxed cell (GGA-PBE, Alexandria) and Cu Kα (weighted mean of Kα1 and Kα2).
Intensities are scaled so that the largest is 100.

Top 10 peaks for 10 to 90 degrees two-theta, by intensity:
| 2θ (°) | I_rel | index |
| --- | --- | --- |
| 34.4 | 100 | 1 1 2 |
| 42.0 | 55 | 2 0 0 |
| 33.7 | 48 | 1 0 3 |
| 54.9 | 23 | 2 1 3 |
| 71.8 | 23 | 3 1 2 |
| 49.6 | 19 | 1 0 5 |
| 60.9 | 18 | 2 2 0 |
| 46.6 | 15 | 1 1 4 |
| 67.0 | 15 | 2 1 5 |
| 62.8 | 14 | 1 1 6 |

Structure:
Lattice parameters (Å, degrees): 4.302 4.302 10.168 90.00 90.00 90.00
Space group P-4m2 (No. 115)
Unique sites:
La: 0.000 0.500 0.249 x2
Cu: 0.000 0.500 0.874 x2
Cu: 0.500 0.500 0.500 x1
Ge: 0.000 0.000 0.000 x1
Ge: 0.000 0.500 0.633 x2
Ge: 0.500 0.500 0.000 x1
Pt: 0.000 0.000 0.500 x1

Diffraction record for PrZn13. The XRD peak list is calculated, not measured: it uses a DFT-relaxed cell (GGA-PBE, Alexandria) and Cu Kα (weighted mean of Kα1 and Kα2).
Intensities are scaled so that the largest is 100.

Top 10 peaks for 10 to 90 degrees two-theta, by intensity:
| 2θ (°) | I_rel | index |
| --- | --- | --- |
| 43.9 | 100 | 5 3 1 |
| 36.1 | 91 | 4 2 2 |
| 32.9 | 45 | 4 2 0 |
| 44.6 | 24 | 6 0 0 |
| 47.2 | 19 | 6 2 0 |
| 70.4 | 17 | 7 5 3 |
| 62.9 | 15 | 6 4 4 |
| 76.6 | 15 | 8 4 4 |
| 85.4 | 14 | 9 5 3 |
| 56.5 | 13 | 6 4 2 |

Structure:
Lattice parameters (Å, degrees): 12.189 12.189 12.189 90.00 90.00 90.00
Space group Fm-3c (No. 226)
Unique sites:
Pr: 0.250 0.250 0.250 x8
Zn: 0.000 0.000 0.000 x8
Zn: 0.000 0.121 0.180 x96

Diffraction record for CuAg3Te2. The XRD peak list is calculated, not measured: it uses a DFT-relaxed cell (GGA-PBE, Alexandria) and Cu Kα (weighted mean of Kα1 and Kα2).
Intensities are scaled so that the largest is 100.

Top 10 peaks for 10 to 90 degrees two-theta, by intensity:
| 2θ (°) | I_rel | index |
| --- | --- | --- |
| 24.0 | 100 | 1 2 1 |
| 37.0 | 92 | 1 3 2 |
| 33.5 | 91 | 2 0 2 |
| 42.9 | 40 | 2 4 0 |
| 46.6 | 31 | 0 0 4 |
| 28.7 | 25 | 1 3 0 |
| 40.8 | 24 | 1 2 3 |
| 42.1 | 23 | 0 4 2 |
| 80.0 | 22 | 3 7 2 |
| 65.2 | 22 | 2 4 4 |

Structure:
Lattice parameters (Å, degrees): 7.359 10.278 7.803 90.00 90.00 90.00
Space group Ibam (No. 72)
Unique sites:
Cu: 0.000 0.000 0.000 x4
Ag: 0.000 0.199 0.250 x8
Ag: 0.000 0.500 0.250 x4
Te: 0.219 0.363 0.000 x8

Diffraction record for ErBeP. The XRD peak list is calculated, not measured: it uses a DFT-relaxed cell (GGA-PBE, Alexandria) and Cu Kα (weighted mean of Kα1 and Kα2).
Intensities are scaled so that the largest is 100.

Top 10 peaks for 10 to 90 degrees two-theta, by intensity:
| 2θ (°) | I_rel | index |
| --- | --- | --- |
| 36.2 | 100 | 1 0 1 |
| 28.0 | 63 | 1 0 0 |
| 22.5 | 26 | 0 0 1 |
| 49.5 | 24 | 1 1 0 |
| 54.7 | 20 | 1 0 2 |
| 62.8 | 20 | 2 0 1 |
| 83.9 | 18 | 2 1 1 |
| 69.8 | 17 | 1 1 2 |
| 55.0 | 15 | 1 1 1 |
| 78.7 | 11 | 1 0 3 |

Structure:
Lattice parameters (Å, degrees): 3.6846 3.6846 3.9475 90.00 90.00 120.00
Space group P-6m2 (No. 187)
Unique sites:
Er: 0.0000 0.0000 0.0000 x1
Be: 0.3333 0.6667 0.5000 x1
P: 0.6667 0.3333 0.5000 x1

Diffraction record for SmZrPt2. The XRD peak list is calculated, not measured: it uses a DFT-relaxed cell (GGA-PBE, Alexandria) and Cu Kα (weighted mean of Kα1 and Kα2).
Intensities are scaled so that the largest is 100.

Top 10 peaks for 10 to 90 degrees two-theta, by intensity:
| 2θ (°) | I_rel | index |
| --- | --- | --- |
| 31.4 | 100 | 1 0 4 |
| 44.5 | 40 | 1 1 0 |
| 45.5 | 31 | 0 1 8 |
| 55.5 | 20 | 0 2 4 |
| 73.7 | 17 | 2 1 4 |
| 82.7 | 11 | 1 2 8 |
| 75.2 | 11 | 1 1 12 |
| 65.5 | 10 | 2 0 8 |
| 34.4 | 8 | 0 1 5 |
| 26.9 | 7 | 0 1 2 |

Structure:
Lattice parameters (Å, degrees): 4.0716 4.0716 19.3365 90.00 90.00 120.00
Space group R-3m (No. 166, hexagonal axes)
Unique sites:
Sm: 0.0000 0.0000 0.0000 x3
Zr: 0.0000 0.0000 0.5000 x3
Pt: 0.0000 0.0000 0.2387 x6